(1)
PmP2Ir5: simulated X-ray diffraction stick pattern (Cu Kα, 1.54184 Å), based on a PBE-relaxed structure.
Intensities are scaled so that the largest is 1000.

Top 10 peaks for 15 to 90 degrees two-theta, by angle:
hkl 0 1 1, d = 5.541 Å, I 204
hkl 0 2 2, d = 2.770 Å, I 267
hkl 1 2 1, d = 2.503 Å, I 999
hkl 1 0 3, d = 2.454 Å, I 1000
hkl 2 0 0, d = 1.984 Å, I 560
hkl 0 2 4, d = 1.935 Å, I 470
hkl 0 3 3, d = 1.847 Å, I 136
hkl 1 4 3, d = 1.407 Å, I 124
hkl 2 2 4, d = 1.385 Å, I 271
hkl 1 2 7, d = 1.190 Å, I 173

Unit cell a=3.9680 b=6.8719 c=9.3675 alpha=90.00 beta=90.00 gamma=90.00
Space group Immm (No. 71)
One atom of each set of equivalent atoms:
Pm 0.0000 0.0000 0.0000 (multiplicity 2)
P 0.0000 0.5000 0.2472 (multiplicity 4)
Ir 0.0000 0.2037 0.3523 (multiplicity 8)
Ir 0.0000 0.5000 0.0000 (multiplicity 2)

(2)
Pr2PIr8: simulated X-ray diffraction stick pattern (Cu Kα, 1.54184 Å), based on a PBE-relaxed structure.
Intensities are scaled so that the largest is 1000.

Top 10 peaks for 15 to 90 degrees two-theta, by angle:
hkl 0 1 1, d = 5.093 Å, I 170
hkl 1 3 1, d = 2.882 Å, I 160
hkl 1 5 1, d = 2.404 Å, I 1000
hkl 0 4 2, d = 2.272 Å, I 172
hkl 1 0 2, d = 2.255 Å, I 260
hkl 0 8 0, d = 2.182 Å, I 218
hkl 2 0 0, d = 2.121 Å, I 344
hkl 1 4 2, d = 2.003 Å, I 293
hkl 1 5 3, d = 1.482 Å, I 124
hkl 3 5 1, d = 1.273 Å, I 137

Unit cell a=4.2428 b=17.4459 c=5.3247 alpha=90.00 beta=90.00 gamma=90.00
Space group Amm2 (No. 38)
One atom of each set of equivalent atoms:
Pr 0.0000 0.1175 0.0000 (multiplicity 4)
P 0.5000 0.0000 0.2601 (multiplicity 2)
Ir 0.0000 0.0000 0.4891 (multiplicity 2)
Ir 0.0000 0.2028 0.5044 (multiplicity 4)
Ir 0.5000 0.0000 0.8364 (multiplicity 2)
Ir 0.5000 0.1137 0.4959 (multiplicity 4)
Ir 0.5000 0.2473 0.2499 (multiplicity 4)

(3)
P2Ir2Pt: simulated X-ray diffraction stick pattern (Cu Kα, 1.54184 Å), based on a PBE-relaxed structure.
Intensities are scaled so that the largest is 1000.

Top 10 peaks for 15 to 90 degrees two-theta, by angle:
hkl 0 1 3, d = 3.429 Å, I 116
hkl 1 1 4, d = 2.431 Å, I 1000
hkl 0 2 0, d = 2.164 Å, I 237
hkl 0 0 8, d = 2.108 Å, I 118
hkl 2 0 0, d = 2.049 Å, I 202
hkl 1 1 6, d = 2.043 Å, I 166
hkl 2 2 0, d = 1.488 Å, I 146
hkl 1 3 4, d = 1.295 Å, I 141
hkl 1 1 12, d = 1.271 Å, I 101
hkl 3 1 4, d = 1.245 Å, I 124

Unit cell a=4.0979 b=4.3282 c=16.8606 alpha=90.00 beta=90.00 gamma=90.00
Space group Imma (No. 74)
One atom of each set of equivalent atoms:
P 0.0000 0.2500 0.0065 (multiplicity 4)
P 0.0000 0.2500 0.8700 (multiplicity 4)
Ir 0.0000 0.2500 0.1912 (multiplicity 4)
Ir 0.0000 0.2500 0.6892 (multiplicity 4)
Pt 0.0000 0.2500 0.4227 (multiplicity 4)

(4)
Sr2P2IrPt: simulated X-ray diffraction stick pattern (Cu Kα, 1.54184 Å), based on a PBE-relaxed structure.
Intensities are scaled so that the largest is 1000.

Top 10 peaks for 15 to 90 degrees two-theta, by angle:
hkl 0 0 2, d = 4.264 Å, I 264
hkl 1 1 0, d = 3.086 Å, I 806
hkl 0 1 2, d = 3.057 Å, I 1000
hkl 1 0 2, d = 3.043 Å, I 989
hkl 0 2 0, d = 2.192 Å, I 244
hkl 2 0 0, d = 2.172 Å, I 238
hkl 0 0 4, d = 2.132 Å, I 224
hkl 1 2 2, d = 1.779 Å, I 420
hkl 2 1 2, d = 1.771 Å, I 414
hkl 1 1 4, d = 1.754 Å, I 322

Unit cell a=4.3446 b=4.3838 c=8.5283 alpha=90.00 beta=90.00 gamma=90.00
Space group Pmmm (No. 47)
One atom of each set of equivalent atoms:
Sr 0.0000 0.0000 0.2457 (multiplicity 2)
P 0.0000 0.5000 0.0000 (multiplicity 1)
P 0.5000 0.0000 0.5000 (multiplicity 1)
Ir 0.5000 0.5000 0.0000 (multiplicity 1)
Pt 0.5000 0.5000 0.5000 (multiplicity 1)

(5)
Rb3P2Ir3: simulated X-ray diffraction stick pattern (Cu Kα, 1.54184 Å), based on a PBE-relaxed structure.
Intensities are scaled so that the largest is 1000.

Top 10 peaks for 15 to 90 degrees two-theta, by angle:
hkl 0 0 6, d = 3.572 Å, I 361
hkl 0 1 5, d = 3.239 Å, I 1000
hkl 1 1 3, d = 2.652 Å, I 470
hkl 1 0 7, d = 2.603 Å, I 378
hkl 0 2 1, d = 2.457 Å, I 887
hkl 2 0 2, d = 2.410 Å, I 960
hkl 0 2 4, d = 2.246 Å, I 641
hkl 1 1 6, d = 2.231 Å, I 371
hkl 2 0 8, d = 1.817 Å, I 425
hkl 2 2 0, d = 1.428 Å, I 354

Unit cell a=5.7121 b=5.7121 c=21.4303 alpha=90.00 beta=90.00 gamma=120.00
Space group R-3m (No. 166, hexagonal axes)
One atom of each set of equivalent atoms:
Rb 0.0000 0.0000 0.0000 (multiplicity 3)
Rb 0.0000 0.0000 0.4101 (multiplicity 6)
P 0.0000 0.0000 0.2428 (multiplicity 6)
Ir 0.0000 0.5000 0.5000 (multiplicity 9)

(6)
PIrSe3S: simulated X-ray diffraction stick pattern (Cu Kα, 1.54184 Å), based on a PBE-relaxed structure.
Intensities are scaled so that the largest is 1000.

Top 10 peaks for 15 to 90 degrees two-theta, by angle:
hkl 0 0 1, d = 4.967 Å, I 684
hkl 0 1 0, d = 4.903 Å, I 582
hkl 0 1 1, d = 4.846 Å, I 792
hkl 1 0 0, d = 4.526 Å, I 876
hkl 1 0 1, d = 4.423 Å, I 666
hkl 0 1 -1, d = 2.867 Å, I 368
hkl 0 2 1, d = 2.797 Å, I 1000
hkl 2 0 1, d = 2.505 Å, I 754
hkl 0 0 2, d = 2.484 Å, I 646
hkl -1 2 1, d = 2.355 Å, I 349

Unit cell a=5.0135 b=5.5954 c=6.1617 alpha=63.24 beta=66.91 gamma=88.93
Space group P1 (No. 1)
One atom of each set of equivalent atoms:
P 0.0000 0.0000 0.0000 (multiplicity 1)
Ir 0.8357 0.3075 0.4877 (multiplicity 1)
Se 0.1018 0.6138 0.9927 (multiplicity 1)
Se 0.3174 0.3563 0.5656 (multiplicity 1)
Se 0.9191 0.9099 0.4269 (multiplicity 1)
S 0.6282 0.1105 0.9540 (multiplicity 1)